[1]
For Tb2Fe12P7, a structure optimized by DFT (GGA-PBE) gives the simulated XRD peak list in this record (Cu Kα).

Atomic structure:
```
data_Tb2Fe12P7
_cell_length_a 8.9657
_cell_length_b 8.9657
_cell_length_c 3.6348
_cell_angle_alpha 90.00
_cell_angle_beta 90.00
_cell_angle_gamma 120.00
_symmetry_space_group_name_H-M 'P -6'
_symmetry_Int_Tables_number 174
_symmetry_space_group_name_Hall 'P -6'
loop_
_atom_site_label
_atom_site_type_symbol
_atom_site_fract_x
_atom_site_fract_y
_atom_site_fract_z
Tb1 Tb 0.0000 0.0000 0.0000
Tb2 Tb 0.3333 0.6667 0.5000
Fe1 Fe 0.0496 0.2843 0.5000
Fe2 Fe 0.0940 0.7052 0.0000
Fe3 Fe 0.3927 0.1795 0.0000
Fe4 Fe 0.5469 0.4311 0.5000
P1 P 0.0757 0.4457 0.0000
P2 P 0.2660 0.2229 0.5000
P3 P 0.6667 0.3333 0.0000
```

The 10 most intense peaks (15° ≤ 2θ ≤ 90°), by angle:
Position (°2θ), intensity, hkl
27.1, 13, 1 0 1
30.5, 10, 2 1 0
34.7, 11, 3 0 0
39.5, 100, 2 1 1
49.2, 10, 3 1 1
50.2, 17, 0 0 2
54.1, 16, 1 4 0
57.6, 12, 3 2 1
76.9, 11, 1 4 2
87.0, 11, 2 1 3

***

[2]
For TbFe5P3, a structure optimized by DFT (GGA-PBE) gives the simulated XRD peak list in this record (Cu Kα).

Atomic structure:
```
data_TbFe5P3
_cell_length_a 11.787
_cell_length_b 3.650
_cell_length_c 10.260
_cell_angle_alpha 90.00
_cell_angle_beta 90.00
_cell_angle_gamma 90.00
_symmetry_space_group_name_H-M 'P n m a'
_symmetry_Int_Tables_number 62
_symmetry_space_group_name_Hall '-P 2ac 2n'
loop_
_atom_site_label
_atom_site_type_symbol
_atom_site_fract_x
_atom_site_fract_y
_atom_site_fract_z
Tb1 Tb 0.204 0.250 0.081
Fe1 Fe 0.010 0.750 0.096
Fe2 Fe 0.012 0.750 0.705
Fe3 Fe 0.067 0.750 0.464
Fe4 Fe 0.175 0.250 0.781
Fe5 Fe 0.201 0.250 0.376
P1 P 0.104 0.750 0.897
P2 P 0.112 0.250 0.579
P3 P 0.129 0.750 0.268
```

The 10 most intense peaks (15° ≤ 2θ ≤ 90°), by angle:
Position (°2θ), intensity, hkl
27.0, 13, 1 1 1
35.8, 10, 1 0 4
37.9, 12, 3 1 2
39.2, 100, 4 1 0
40.4, 16, 4 0 3
43.8, 8, 1 1 4
50.0, 20, 0 2 0
53.8, 13, 6 0 3
76.5, 11, 6 2 3
86.5, 9, 4 3 0

***

[3]
For Th5Fe19P12, a structure optimized by DFT (GGA-PBE) gives the simulated XRD peak list in this record (Cu Kα).

Atomic structure:
```
data_Th5Fe19P12
_cell_length_a 28.814
_cell_length_b 3.751
_cell_length_c 9.201
_cell_angle_alpha 90.00
_cell_angle_beta 103.08
_cell_angle_gamma 90.00
_symmetry_space_group_name_H-M 'C 1 2/m 1'
_symmetry_Int_Tables_number 12
_symmetry_space_group_name_Hall '-C 2y'
loop_
_atom_site_label
_atom_site_type_symbol
_atom_site_fract_x
_atom_site_fract_y
_atom_site_fract_z
Th1 Th 0.000 0.000 0.000
Th2 Th 0.082 0.000 0.691
Th3 Th 0.177 0.500 0.275
Fe1 Fe 0.000 0.500 0.500
Fe2 Fe 0.027 0.000 0.354
Fe3 Fe 0.066 0.500 0.207
Fe4 Fe 0.088 0.500 0.956
Fe5 Fe 0.116 0.000 0.390
Fe6 Fe 0.153 0.500 0.598
Fe7 Fe 0.157 0.000 0.993
Fe8 Fe 0.206 0.000 0.780
Fe9 Fe 0.220 0.500 0.005
Fe10 Fe 0.242 0.500 0.601
P1 P 0.013 0.500 0.769
P2 P 0.081 0.500 0.450
P3 P 0.101 0.000 0.127
P4 P 0.153 0.500 0.846
P5 P 0.195 0.000 0.531
P6 P 0.233 0.000 0.147
```

The 10 most intense peaks (15° ≤ 2θ ≤ 90°), by angle:
Position (°2θ), intensity, hkl
17.7, 34, 4 0 1
25.6, 34, 3 1 0
35.7, 37, 7 1 1
35.9, 28, 8 0 2
37.1, 54, 9 1 -1
38.1, 100, 1 1 -3
39.4, 46, 9 1 -2
40.6, 40, 9 1 1
41.2, 24, 7 1 2
48.5, 48, 0 2 0

***

Number 3 is which compound?
Th5Fe19P12